LiCr2P3O12: calculated X-ray powder pattern (λ = 1.5418 Å (Cu Kα)), based on DFT lattice parameters and positions (GGA+U).

Most intense lines, 5° ≤ 2θ ≤ 70°, in order of rising 2θ:
- (1 1 1), 2θ = 20.5°, 4.343 Å, rel. 82
- (0 2 0), 2θ = 20.9°, 4.254 Å, rel. 77
- (3 1 0), 2θ = 24.2°, 3.672 Å, rel. 87
- (0 2 1), 2θ = 24.4°, 3.653 Å, rel. 94
- (3 1 -2), 2θ = 24.5°, 3.636 Å, rel. 100
- (2 2 -2), 2θ = 29.5°, 3.025 Å, rel. 82

Structural model:
Lattice parameters (Å, degrees): 14.740 8.507 8.610 90.00 124.05 90.00
Space group Cc (No. 9)
Asymmetric unit:
Li  0.000  0.162  0.000 (multiplicity 4)
Cr  0.207  0.249  0.376 (multiplicity 4)
Cr  0.412  0.244  0.020 (multiplicity 4)
P  0.169  0.112  0.704 (multiplicity 4)
P  0.307  0.462  0.197 (multiplicity 4)
P  0.447  0.111  0.687 (multiplicity 4)
O  0.050  0.304  0.224 (multiplicity 4)
O  0.065  0.196  0.657 (multiplicity 4)
O  0.148  0.066  0.203 (multiplicity 4)
O  0.189  0.140  0.549 (multiplicity 4)
O  0.220  0.356  0.194 (multiplicity 4)
O  0.247  0.440  0.521 (multiplicity 4)
O  0.263  0.173  0.896 (multiplicity 4)
O  0.356  0.178  0.495 (multiplicity 4)
O  0.374  0.445  0.885 (multiplicity 4)
O  0.397  0.355  0.210 (multiplicity 4)
O  0.426  0.139  0.838 (multiplicity 4)
O  0.462  0.068  0.182 (multiplicity 4)

---

CrF3: calculated X-ray powder pattern (λ = 1.5418 Å (Cu Kα)), based on DFT lattice parameters and positions (GGA+U).

Most intense lines, 5° ≤ 2θ ≤ 70°, in order of rising 2θ:
- (0 1 2), 2θ = 24.1°, 3.695 Å, rel. 100
- (1 0 4), 2θ = 33.3°, 2.693 Å, rel. 20
- (1 1 3), 2θ = 40.7°, 2.217 Å, rel. 23
- (0 2 4), 2θ = 49.3°, 1.848 Å, rel. 18
- (1 1 6), 2θ = 54.2°, 1.693 Å, rel. 28
- (1 2 2), 2θ = 57.0°, 1.615 Å, rel. 11

Structural model:
Lattice parameters (Å, degrees): 5.0802 5.0802 13.6204 90.00 90.00 120.00
Space group R-3c (No. 167, hexagonal axes)
Asymmetric unit:
Cr  0.0000  0.0000  0.0000 (multiplicity 6)
F  0.0000  0.3836  0.2500 (multiplicity 18)

---

CrSnSbO6: calculated X-ray powder pattern (λ = 1.5418 Å (Cu Kα)), based on DFT lattice parameters and positions (GGA+U).

Most intense lines, 5° ≤ 2θ ≤ 70°, in order of rising 2θ:
- (1 1 0), 2θ = 26.7°, 3.340 Å, rel. 100
- (1 0 3), 2θ = 34.2°, 2.624 Å, rel. 75
- (2 0 0), 2θ = 38.1°, 2.362 Å, rel. 21
- (2 1 3), 2θ = 52.1°, 1.755 Å, rel. 68
- (2 2 0), 2θ = 55.0°, 1.670 Å, rel. 18
- (3 0 3), 2θ = 66.4°, 1.409 Å, rel. 22

Structural model:
Lattice parameters (Å, degrees): 4.723 4.723 9.467 90.00 90.00 90.00
Space group P4_2nm (No. 102)
Asymmetric unit:
Cr  0.000  0.000  0.000 (multiplicity 2)
Sn  0.000  0.000  0.668 (multiplicity 2)
Sb  0.000  0.000  0.334 (multiplicity 2)
O  0.188  0.188  0.168 (multiplicity 4)
O  0.196  0.196  0.496 (multiplicity 4)
O  0.197  0.197  0.837 (multiplicity 4)